For Al2MoF, a structure optimized by DFT (PBE+U) gives the computed PXRD pattern in this record (Cu Kα).
No peak broadening, texture or thermal motion is included.

Cell and atoms:
Lattice parameters (Å, degrees): 6.704 6.704 5.140 90.00 90.00 90.00
Space group I-42d (No. 122)
Inequivalent atoms, fractional coordinates:
1 Al 0.194 0.250 0.125 (multiplicity 8)
2 Mo 0.000 0.000 0.500 (multiplicity 4)
3 F 0.000 0.000 0.000 (multiplicity 4)

Top 12 peaks for 10° ≤ 2θ ≤ 90°, in order of falling intensity:
2θ = 39.90°, d 2.259, I 100, hkl 1 1 2; 2θ = 37.96°, d 2.370, I 89, hkl 2 2 0; 2θ = 34.64°, d 2.590, I 82, hkl 2 1 1; 2θ = 56.25°, d 1.635, I 64, hkl 3 1 2; 2θ = 21.79°, d 4.079, I 61, hkl 1 0 1; 2θ = 26.59°, d 3.352, I 46, hkl 2 0 0; 2θ = 44.19°, d 2.049, I 29, hkl 3 0 1; 2θ = 54.77°, d 1.676, I 25, hkl 4 0 0; 2θ = 79.96°, d 1.200, I 20, hkl 2 0 4; 2θ = 82.39°, d 1.170, I 19, hkl 5 1 2; 2θ = 72.91°, d 1.297, I 16, hkl 4 3 1; 2θ = 69.88°, d 1.346, I 15, hkl 3 3 2